1.
# Th3CoGe3
Computed powder X-ray diffraction pattern, CuKα. Input: DFT lattice parameters and positions (GGA-PBE).
Intensities are scaled so that the largest is 100.

Cell and atoms:
```
data_Th3CoGe3
_chemical_formula_sum 'Th12 Co4 Ge12'
_space_group_name_H-M_alt 'C 1 2/m 1'
_space_group_IT_number 12
_cell_length_a 10.9473
_cell_length_b 4.2260
_cell_length_c 14.8569
_cell_angle_alpha 90.00
_cell_angle_beta 110.80
_cell_angle_gamma 90.00
loop_
_space_group_symop_operation_xyz
'x,y,z'
'-x,-y,-z'
'-x,y,-z'
'x,-y,z'
'x+1/2,y+1/2,z'
'-x+1/2,-y+1/2,-z'
'-x+1/2,y+1/2,-z'
'x+1/2,-y+1/2,z'
loop_
_atom_site_label
_atom_site_type_symbol
_atom_site_fract_x
_atom_site_fract_y
_atom_site_fract_z
Th1 Th 0.0231 0.0000 0.3891
Th2 Th 0.1029 0.0000 0.9199
Th3 Th 0.2385 0.0000 0.2381
Co1 Co 0.2365 0.5000 0.3843
Ge1 Ge 0.0239 0.5000 0.2442
Ge2 Ge 0.1181 0.5000 0.0749
Ge3 Ge 0.1658 0.5000 0.5408
```

The 10 most intense peaks (2θ from 10° to 90°), low angle first:
22.8 deg, d = 3.905 Å, intensity 38.9, (1 1 0); 25.4 deg, d = 3.510 Å, intensity 41.9, (2 0 -4); 31.9 deg, d = 2.804 Å, intensity 67.0, (1 1 3); 32.1 deg, d = 2.790 Å, intensity 100.0, (1 1 -4); 32.6 deg, d = 2.750 Å, intensity 85.8, (3 1 -1); 32.7 deg, d = 2.737 Å, intensity 49.6, (4 0 -2); 36.5 deg, d = 2.462 Å, intensity 43.7, (3 1 -4); 38.9 deg, d = 2.315 Å, intensity 37.4, (0 0 6); 39.6 deg, d = 2.278 Å, intensity 55.0, (3 1 2); 42.8 deg, d = 2.113 Å, intensity 53.7, (0 2 0)

2.
# Th4CoGe
Computed powder X-ray diffraction pattern, CuKα. Input: DFT lattice parameters and positions (GGA-PBE).
Intensities are scaled so that the largest is 100.

Cell and atoms:
```
data_Th4CoGe
_chemical_formula_sum 'Th16 Co4 Ge4'
_space_group_name_H-M_alt 'I 41 m d'
_space_group_IT_number 109
_space_group_name_Hall 'I 4bw -2'
_cell_length_a 9.1617
_cell_length_b 9.1617
_cell_length_c 8.9264
_cell_angle_alpha 90.00
_cell_angle_beta 90.00
_cell_angle_gamma 90.00
loop_
_atom_site_label
_atom_site_type_symbol
_atom_site_fract_x
_atom_site_fract_y
_atom_site_fract_z
Th1 Th 0.0000 0.3045 0.0000
Th2 Th 0.0000 0.3151 0.4547
Co1 Co 0.0000 0.0000 0.9656
Ge1 Ge 0.0000 0.0000 0.4853
```

The 10 most intense peaks (2θ from 10° to 90°), low angle first:
19.4 deg, d = 4.581 Å, intensity 15.1, (2 0 0); 27.5 deg, d = 3.239 Å, intensity 24.6, (2 2 0); 27.9 deg, d = 3.197 Å, intensity 100.0, (2 0 2); 30.9 deg, d = 2.897 Å, intensity 45.7, (3 1 0); 37.0 deg, d = 2.430 Å, intensity 23.4, (3 1 2); 39.3 deg, d = 2.290 Å, intensity 14.0, (4 0 0); 40.4 deg, d = 2.232 Å, intensity 13.5, (0 0 4); 46.7 deg, d = 1.944 Å, intensity 37.7, (3 3 2); 51.7 deg, d = 1.768 Å, intensity 15.7, (3 1 4); 58.8 deg, d = 1.571 Å, intensity 16.0, (5 3 0)

3.
# Th3CoGe
Computed powder X-ray diffraction pattern, CuKα. Input: DFT lattice parameters and positions (GGA-PBE).
Intensities are scaled so that the largest is 100.

Cell and atoms:
```
data_Th3CoGe
_chemical_formula_sum 'Th12 Co4 Ge4'
_space_group_name_H-M_alt 'C 1 2/m 1'
_space_group_IT_number 12
_cell_length_a 15.2612
_cell_length_b 3.9891
_cell_length_c 8.3348
_cell_angle_alpha 90.00
_cell_angle_beta 90.22
_cell_angle_gamma 90.00
loop_
_space_group_symop_operation_xyz
'x,y,z'
'-x,-y,-z'
'-x,y,-z'
'x,-y,z'
'x+1/2,y+1/2,z'
'-x+1/2,-y+1/2,-z'
'-x+1/2,y+1/2,-z'
'x+1/2,-y+1/2,z'
loop_
_atom_site_label
_atom_site_type_symbol
_atom_site_fract_x
_atom_site_fract_y
_atom_site_fract_z
Th1 Th 0.0382 0.0000 0.3006
Th2 Th 0.1106 0.5000 0.9543
Th3 Th 0.2493 0.0000 0.6932
Co1 Co 0.2049 0.0000 0.0836
Ge1 Ge 0.1062 0.5000 0.5668
```

The 10 most intense peaks (2θ from 10° to 90°), low angle first:
25.4 deg, d = 3.503 Å, intensity 28.6, (1 1 -1); 25.7 deg, d = 3.465 Å, intensity 30.0, (4 0 1); 30.4 deg, d = 2.937 Å, intensity 100.0, (3 1 1); 31.6 deg, d = 2.830 Å, intensity 89.3, (1 1 2); 31.7 deg, d = 2.819 Å, intensity 57.2, (4 0 -2); 32.2 deg, d = 2.778 Å, intensity 31.9, (0 0 3); 37.1 deg, d = 2.424 Å, intensity 32.9, (5 1 0); 45.5 deg, d = 1.995 Å, intensity 32.6, (0 2 0); 52.6 deg, d = 1.739 Å, intensity 28.3, (3 1 -4); 56.5 deg, d = 1.628 Å, intensity 27.0, (4 2 -2)

4.
# Th4CoGe2
Computed powder X-ray diffraction pattern, CuKα. Input: DFT lattice parameters and positions (GGA-PBE).
Intensities are scaled so that the largest is 100.

Cell and atoms:
```
data_Th4CoGe2
_chemical_formula_sum 'Th16 Co4 Ge8'
_space_group_name_H-M_alt 'I -4 2 d'
_space_group_IT_number 122
_space_group_name_Hall 'I -4 2bw'
_cell_length_a 8.7221
_cell_length_b 8.7221
_cell_length_c 9.4877
_cell_angle_alpha 90.00
_cell_angle_beta 90.00
_cell_angle_gamma 90.00
loop_
_atom_site_label
_atom_site_type_symbol
_atom_site_fract_x
_atom_site_fract_y
_atom_site_fract_z
Th1 Th 0.0677 0.2044 0.3039
Co1 Co 0.0000 0.0000 0.0000
Ge1 Ge 0.1027 0.2500 0.6250
```

The 10 most intense peaks (2θ from 10° to 90°), low angle first:
24.7 deg, d = 3.608 Å, intensity 35.8, (2 1 1); 27.8 deg, d = 3.211 Å, intensity 36.8, (2 0 2); 29.0 deg, d = 3.084 Å, intensity 35.9, (2 2 0); 30.1 deg, d = 2.973 Å, intensity 81.9, (1 0 3); 32.2 deg, d = 2.780 Å, intensity 45.7, (3 0 1); 32.5 deg, d = 2.758 Å, intensity 100.0, (3 1 0); 36.6 deg, d = 2.457 Å, intensity 84.2, (2 1 3); 37.7 deg, d = 2.384 Å, intensity 32.0, (3 1 2); 52.0 deg, d = 1.758 Å, intensity 40.4, (4 1 3); 53.4 deg, d = 1.716 Å, intensity 32.5, (4 3 1)

5.
# Ti6Co16Ge7
Computed powder X-ray diffraction pattern, CuKα. Input: DFT lattice parameters and positions (GGA-PBE).
Intensities are scaled so that the largest is 100.

Cell and atoms:
```
data_Ti6Co16Ge7
_chemical_formula_sum 'Ti24 Co64 Ge28'
_space_group_name_H-M_alt 'F m -3 m'
_space_group_IT_number 225
_space_group_name_Hall '-F 4 2 3'
_cell_length_a 11.3071
_cell_length_b 11.3071
_cell_length_c 11.3071
_cell_angle_alpha 90.00
_cell_angle_beta 90.00
_cell_angle_gamma 90.00
loop_
_atom_site_label
_atom_site_type_symbol
_atom_site_fract_x
_atom_site_fract_y
_atom_site_fract_z
Ti1 Ti 0.0000 0.0000 0.1993
Co1 Co 0.1199 0.1199 0.3801
Co2 Co 0.1658 0.1658 0.1658
Ge1 Ge 0.0000 0.0000 0.5000
Ge2 Ge 0.0000 0.2500 0.2500
```

The 10 most intense peaks (2θ from 10° to 90°), low angle first:
13.6 deg, d = 6.528 Å, intensity 10.7, (1 1 1); 15.7 deg, d = 5.654 Å, intensity 13.6, (2 0 0); 39.0 deg, d = 2.308 Å, intensity 12.8, (4 2 2); 41.5 deg, d = 2.176 Å, intensity 42.4, (3 3 3); 45.4 deg, d = 1.999 Å, intensity 100.0, (4 4 0); 47.6 deg, d = 1.911 Å, intensity 22.9, (5 3 1); 53.8 deg, d = 1.705 Å, intensity 20.1, (6 2 2); 76.8 deg, d = 1.241 Å, intensity 9.6, (7 5 3); 83.8 deg, d = 1.154 Å, intensity 15.5, (8 4 4); 85.4 deg, d = 1.136 Å, intensity 13.4, (9 3 3)

6.
# Tm2Co2Ge
Computed powder X-ray diffraction pattern, CuKα. Input: DFT lattice parameters and positions (GGA-PBE).
Intensities are scaled so that the largest is 100.

Cell and atoms:
```
data_Tm2Co2Ge
_chemical_formula_sum 'Tm8 Co8 Ge4'
_space_group_name_H-M_alt 'C 1 2/c 1'
_space_group_IT_number 15
_cell_length_a 9.1815
_cell_length_b 5.3040
_cell_length_c 7.3917
_cell_angle_alpha 90.00
_cell_angle_beta 103.48
_cell_angle_gamma 90.00
loop_
_space_group_symop_operation_xyz
'x,y,z'
'-x,-y,-z'
'-x,y,-z+1/2'
'x,-y,z+1/2'
'x+1/2,y+1/2,z'
'-x+1/2,-y+1/2,-z'
'-x+1/2,y+1/2,-z+1/2'
'x+1/2,-y+1/2,z+1/2'
loop_
_atom_site_label
_atom_site_type_symbol
_atom_site_fract_x
_atom_site_fract_y
_atom_site_fract_z
Tm1 Tm 0.1479 0.1442 0.1476
Co1 Co 0.1384 0.3592 0.5017
Ge1 Ge 0.0000 0.3664 0.7500
```

The 10 most intense peaks (2θ from 10° to 90°), low angle first:
28.0 deg, d = 3.186 Å, intensity 39.1, (2 0 -2); 34.3 deg, d = 2.617 Å, intensity 53.4, (3 1 -1); 35.5 deg, d = 2.527 Å, intensity 52.4, (2 0 2); 36.1 deg, d = 2.488 Å, intensity 78.5, (0 2 1); 38.4 deg, d = 2.342 Å, intensity 33.7, (3 1 -2); 39.2 deg, d = 2.297 Å, intensity 33.6, (3 1 1); 40.0 deg, d = 2.252 Å, intensity 48.8, (2 2 -1); 40.4 deg, d = 2.233 Å, intensity 100.0, (1 1 -3); 43.0 deg, d = 2.102 Å, intensity 39.9, (2 2 1); 71.1 deg, d = 1.326 Å, intensity 43.4, (6 2 -1)